K2Tl5In: theoretical PXRD pattern (Cu Kα (weighted mean of Kα1 and Kα2)), based on DFT lattice parameters and positions (GGA-PBE).
Kinematic intensities with the Lorentz-polarization factor, no thermal factor.

Main lines, in order of rising 2θ (2θ from 15° to 90°):
- (1 1 0), d 3.975, I 16
- (1 1 4), d 2.894, I 100
- (2 0 0), d 2.810, I 57
- (2 0 2), d 2.667, I 13
- (1 1 6), d 2.297, I 28
- (2 2 0), d 1.987, I 23
- (0 0 10), d 1.688, I 15
- (3 1 4), d 1.638, I 37
- (3 1 6), d 1.503, I 16
- (2 0 10), d 1.447, I 17

Structural model:
Cell: 5.6206 5.6206 16.8872 Å, 90.00 90.00 90.00°
Space group I4/mmm (No. 139)
Symmetry-distinct sites (fractional):
K: 0.0000 0.0000 0.2490 [4 per cell]
Tl: 0.0000 0.0000 0.5000 [2 per cell]
Tl: 0.0000 0.5000 0.1045 [8 per cell]
In: 0.0000 0.0000 0.0000 [2 per cell]

***

K4Zr6CBr18: theoretical PXRD pattern (Cu Kα (weighted mean of Kα1 and Kα2)), based on DFT lattice parameters and positions (GGA-PBE).
Kinematic intensities with the Lorentz-polarization factor, no thermal factor.

Main lines, in order of rising 2θ (2θ from 15° to 90°):
- (3 0 0), d 3.217, I 96
- (-3 1 2), d 2.951, I 100
- (-3 2 1), d 2.941, I 67
- (1 -1 3), d 2.921, I 60
- (2 3 -2), d 2.650, I 93
- (2 -2 3), d 2.612, I 86
- (-3 2 2), d 2.516, I 69
- (-4 2 2), d 2.238, I 52
- (2 0 -5), d 1.865, I 75
- (0 5 -5), d 1.834, I 60

Structural model:
Cell: 10.5505 10.6437 10.6476 Å, 118.84 102.58 101.13°
Space group P-1 (No. 2)
Symmetry-distinct sites (fractional):
K: 0.1506 0.2287 0.0387 [2 per cell]
K: 0.1784 0.5639 0.7269 [2 per cell]
Zr: 0.3506 0.7755 0.4486 [2 per cell]
Zr: 0.3584 0.9588 0.2734 [2 per cell]
Zr: 0.3738 0.1370 0.6326 [2 per cell]
C: 0.5000 0.0000 0.5000 [1 per cell]
Br: 0.1624 0.4973 0.3835 [2 per cell]
Br: 0.1667 0.6922 0.1781 [2 per cell]
Br: 0.1783 0.9048 0.9923 [2 per cell]
Br: 0.1844 0.8978 0.5910 [2 per cell]
Br: 0.1932 0.1084 0.3902 [2 per cell]
Br: 0.2213 0.3031 0.7931 [2 per cell]
Br: 0.4721 0.5838 0.2894 [2 per cell]
Br: 0.4820 0.7976 0.0870 [2 per cell]
Br: 0.4917 0.7882 0.7016 [2 per cell]

***

ScAlHgPt: theoretical PXRD pattern (Cu Kα (weighted mean of Kα1 and Kα2)), based on DFT lattice parameters and positions (GGA-PBE).
Kinematic intensities with the Lorentz-polarization factor, no thermal factor.

Main lines, in order of rising 2θ (2θ from 15° to 90°):
- (2 0 0), d 3.299, I 59
- (2 2 0), d 2.333, I 100
- (2 2 2), d 1.905, I 18
- (4 0 0), d 1.650, I 17
- (4 2 0), d 1.475, I 24
- (4 2 2), d 1.347, I 35
- (4 4 0), d 1.166, I 11
- (6 0 0), d 1.100, I 13

Structural model:
Cell: 6.5982 6.5982 6.5982 Å, 90.00 90.00 90.00°
Space group F-43m (No. 216)
Symmetry-distinct sites (fractional):
Sc: 0.0000 0.0000 0.0000 [4 per cell]
Al: 0.0000 0.0000 0.5000 [4 per cell]
Hg: 0.2500 0.2500 0.2500 [4 per cell]
Pt: 0.2500 0.2500 0.7500 [4 per cell]

***

Rb2NaSn2Br7: theoretical PXRD pattern (Cu Kα (weighted mean of Kα1 and Kα2)), based on DFT lattice parameters and positions (GGA-PBE).
Kinematic intensities with the Lorentz-polarization factor, no thermal factor.

Main lines, in order of rising 2θ (2θ from 15° to 90°):
- (1 1 -1), d 5.726, I 52
- (0 2 0), d 4.134, I 34
- (0 2 3), d 3.134, I 19
- (2 2 -1), d 2.924, I 100
- (0 0 5), d 2.884, I 36
- (1 1 4), d 2.824, I 24
- (1 1 -5), d 2.796, I 18
- (0 4 0), d 2.067, I 61
- (2 2 -6), d 2.041, I 28
- (2 6 -1), d 1.307, I 16

Structural model:
Cell: 8.2747 8.2651 14.9357 Å, 90.00 105.10 90.00°
Space group C2/m (No. 12)
Symmetry-distinct sites (fractional):
Rb: 0.1615 0.0000 0.3577 [4 per cell]
Na: 0.0000 0.0000 0.0000 [2 per cell]
Sn: 0.1053 0.5000 0.2051 [4 per cell]
Br: 0.0000 0.5000 0.0000 [2 per cell]
Br: 0.1511 0.2475 0.8074 [8 per cell]
Br: 0.2170 0.5000 0.4064 [4 per cell]

***

Ac2NiSbPt6: theoretical PXRD pattern (Cu Kα (weighted mean of Kα1 and Kα2)), based on DFT lattice parameters and positions (GGA-PBE).
Kinematic intensities with the Lorentz-polarization factor, no thermal factor.

Main lines, in order of rising 2θ (2θ from 15° to 90°):
- (1 1 1), d 3.265, I 34
- (3 1 -2), d 3.210, I 80
- (0 0 2), d 3.154, I 43
- (4 0 -2), d 3.135, I 41
- (2 2 0), d 2.375, I 100
- (2 2 -2), d 2.348, I 79
- (4 0 0), d 2.268, I 84
- (1 1 -3), d 2.246, I 38
- (5 1 -3), d 2.236, I 28
- (2 2 2), d 1.634, I 25

Structural model:
Cell: 12.5481 5.5736 8.7207 Å, 90.00 133.67 90.00°
Space group C2/m (No. 12)
Symmetry-distinct sites (fractional):
Ac: 0.2340 0.0000 0.2711 [4 per cell]
Ni: 0.0000 0.5000 0.0000 [2 per cell]
Sb: 0.0000 0.0000 0.5000 [2 per cell]
Pt: 0.0058 0.2588 0.7585 [8 per cell]
Pt: 0.2438 0.5000 0.1006 [4 per cell]

***

MoI4: theoretical PXRD pattern (Cu Kα (weighted mean of Kα1 and Kα2)), based on DFT lattice parameters and positions (GGA-PBE).
Kinematic intensities with the Lorentz-polarization factor, no thermal factor.

Main lines, in order of rising 2θ (2θ from 15° to 90°):
- (0 1 1), d 5.201, I 14
- (2 0 0), d 3.503, I 34
- (1 2 -1), d 3.405, I 66
- (0 0 2), d 3.315, I 30
- (1 2 1), d 2.965, I 100
- (2 0 -2), d 2.918, I 48
- (3 2 -1), d 2.124, I 35
- (2 0 2), d 2.097, I 34
- (1 2 -3), d 2.038, I 32
- (2 4 -2), d 1.702, I 16

Structural model:
Cell: 7.3935 8.3853 6.9971 Å, 90.00 108.62 90.00°
Space group P2/c (No. 13)
Symmetry-distinct sites (fractional):
Mo: 0.0000 0.1448 0.2500 [2 per cell]
I: 0.2178 0.1104 0.9938 [4 per cell]
I: 0.2454 0.3567 0.4713 [4 per cell]

***

NpPaN2O: theoretical PXRD pattern (Cu Kα (weighted mean of Kα1 and Kα2)), based on DFT lattice parameters and positions (GGA-PBE).
Kinematic intensities with the Lorentz-polarization factor, no thermal factor.

Main lines, in order of rising 2θ (2θ from 15° to 90°):
- (1 0 2), d 2.945, I 100
- (0 0 4), d 2.716, I 19
- (1 1 0), d 2.478, I 38
- (1 1 4), d 1.831, I 28
- (2 0 0), d 1.752, I 15
- (1 0 6), d 1.609, I 14
- (2 1 2), d 1.506, I 29
- (2 0 4), d 1.473, I 12
- (2 1 6), d 1.185, I 10
- (3 0 2), d 1.142, I 9

Structural model:
Cell: 3.5050 3.5050 10.8632 Å, 90.00 90.00 90.00°
Space group P4/nmm (No. 129, origin choice 2)
Symmetry-distinct sites (fractional):
Np: 0.2500 0.2500 0.1069 [2 per cell]
Pa: 0.2500 0.2500 0.6390 [2 per cell]
N: 0.2500 0.2500 0.2984 [2 per cell]
N: 0.2500 0.2500 0.8717 [2 per cell]
O: 0.2500 0.7500 0.5000 [2 per cell]

***

HoCdNi: theoretical PXRD pattern (Cu Kα (weighted mean of Kα1 and Kα2)), based on DFT lattice parameters and positions (GGA-PBE).
Kinematic intensities with the Lorentz-polarization factor, no thermal factor.

Main lines, in order of rising 2θ (2θ from 15° to 90°):
- (3 1 0), d 3.082, I 46
- (3 1 1), d 2.705, I 67
- (4 0 0), d 2.669, I 28
- (1 1 2), d 2.496, I 100
- (2 2 -1), d 2.413, I 75
- (4 2 1), d 1.900, I 44
- (6 0 -1), d 1.697, I 23
- (5 3 0), d 1.481, I 20
- (4 2 3), d 1.376, I 28
- (8 2 1), d 1.197, I 17

Structural model:
Cell: 10.6798 6.1622 5.6473 Å, 90.00 90.03 90.00°
Space group C2 (No. 5)
Symmetry-distinct sites (fractional):
Ho: 0.0000 0.0000 0.0000 [2 per cell]
Ho: 0.2128 0.6388 0.6667 [4 per cell]
Cd: 0.0000 0.2311 0.5000 [2 per cell]
Cd: 0.0974 0.5231 0.1668 [4 per cell]
Ni: 0.0000 0.8123 0.5000 [2 per cell]
Ni: 0.1936 0.2324 0.8342 [4 per cell]

***

Hg4BiSe2Cl5: theoretical PXRD pattern (Cu Kα (weighted mean of Kα1 and Kα2)), based on DFT lattice parameters and positions (GGA-PBE).
Kinematic intensities with the Lorentz-polarization factor, no thermal factor.

Main lines, in order of rising 2θ (2θ from 15° to 90°):
- (1 2 -2), d 4.373, I 25
- (0 2 2), d 4.280, I 100
- (1 0 -4), d 4.250, I 31
- (2 0 0), d 4.194, I 21
- (2 2 -2), d 3.570, I 20
- (3 2 -4), d 2.681, I 20
- (0 4 0), d 2.634, I 48
- (1 2 4), d 2.521, I 31
- (2 2 -6), d 2.494, I 25
- (3 2 0), d 2.469, I 19

Structural model:
Cell: 9.7379 10.5347 17.0562 Å, 90.00 120.54 90.00°
Space group P2_1/c (No. 14)
Symmetry-distinct sites (fractional):
Hg: 0.0115 0.0036 0.3557 [4 per cell]
Hg: 0.0124 0.2350 0.0052 [4 per cell]
Hg: 0.3289 0.7440 0.4503 [4 per cell]
Hg: 0.3577 0.2473 0.9514 [4 per cell]
Bi: 0.4882 0.0026 0.2426 [4 per cell]
Se: 0.0171 0.7391 0.8558 [4 per cell]
Se: 0.0463 0.2448 0.3678 [4 per cell]
Cl: 0.2375 0.5301 0.5675 [4 per cell]
Cl: 0.2553 0.5468 0.0895 [4 per cell]
Cl: 0.3012 0.5007 0.3235 [4 per cell]
Cl: 0.3030 0.0065 0.3167 [4 per cell]
Cl: 0.4325 0.2489 0.7000 [4 per cell]

***

PuMnSe3: theoretical PXRD pattern (Cu Kα (weighted mean of Kα1 and Kα2)), based on DFT lattice parameters and positions (GGA-PBE).
Kinematic intensities with the Lorentz-polarization factor, no thermal factor.

Main lines, in order of rising 2θ (2θ from 15° to 90°):
- (1 0 3), d 3.928, I 25
- (2 0 1), d 3.855, I 29
- (0 1 1), d 3.756, I 32
- (1 1 3), d 2.771, I 62
- (2 1 1), d 2.745, I 33
- (2 1 2), d 2.589, I 100
- (1 0 5), d 2.560, I 36
- (0 1 5), d 2.222, I 30
- (3 1 3), d 1.985, I 26
- (0 2 0), d 1.955, I 30

Structural model:
Cell: 8.0441 3.9100 13.5021 Å, 90.00 90.00 90.00°
Space group Pnma (No. 62)
Symmetry-distinct sites (fractional):
Pu: 0.1024 0.2500 0.1725 [4 per cell]
Mn: 0.1627 0.7500 0.4474 [4 per cell]
Se: 0.0181 0.7500 0.6125 [4 per cell]
Se: 0.1507 0.7500 0.0033 [4 per cell]
Se: 0.1836 0.2500 0.7861 [4 per cell]

***

PmTaClO4: theoretical PXRD pattern (Cu Kα (weighted mean of Kα1 and Kα2)), based on DFT lattice parameters and positions (GGA-PBE).
Kinematic intensities with the Lorentz-polarization factor, no thermal factor.

Main lines, in order of rising 2θ (2θ from 15° to 90°):
- (2 0 0), d 5.812, I 51
- (0 0 2), d 3.494, I 32
- (0 2 0), d 3.475, I 88
- (3 1 0), d 3.384, I 100
- (1 1 -2), d 3.189, I 86
- (3 1 1), d 2.825, I 39
- (3 1 -2), d 2.728, I 46
- (6 0 -1), d 1.990, I 29
- (5 1 1), d 1.978, I 28
- (0 4 0), d 1.736, I 41

Structural model:
Cell: 11.9640 6.9493 7.1925 Å, 90.00 103.70 90.00°
Space group C2/m (No. 12)
Symmetry-distinct sites (fractional):
Pm: 0.2137 0.0000 0.3510 [4 per cell]
Ta: 0.1397 0.0000 0.7745 [4 per cell]
Cl: 0.0216 0.5000 0.3745 [4 per cell]
O: 0.0202 0.0000 0.2699 [4 per cell]
O: 0.1931 0.2010 0.6424 [8 per cell]
O: 0.2091 0.0000 0.0325 [4 per cell]

***

Ni4Pt5: theoretical PXRD pattern (Cu Kα (weighted mean of Kα1 and Kα2)), based on DFT lattice parameters and positions (GGA-PBE).
Kinematic intensities with the Lorentz-polarization factor, no thermal factor.

Main lines, in order of rising 2θ (2θ from 15° to 90°):
- (0 0 1), d 5.769, I 19
- (2 1 1), d 2.205, I 100
- (0 2 1), d 2.195, I 98
- (1 2 -1), d 1.915, I 34
- (2 -1 0), d 1.909, I 32
- (1 1 3), d 1.892, I 30
- (2 3 2), d 1.346, I 20
- (3 -2 2), d 1.153, I 19
- (4 0 1), d 1.152, I 12
- (3 2 4), d 1.145, I 12

Structural model:
Cell: 4.6762 4.6782 5.9899 Å, 83.21 75.06 80.48°
Space group P1 (No. 1)
Symmetry-distinct sites (fractional):
Ni: 0.0000 0.0000 0.0000 [1 per cell]
Ni: 0.1134 0.2220 0.5744 [1 per cell]
Ni: 0.5678 0.1135 0.7851 [1 per cell]
Ni: 0.7861 0.5418 0.8934 [1 per cell]
Pt: 0.2232 0.4336 0.1099 [1 per cell]
Pt: 0.3349 0.6774 0.6837 [1 per cell]
Pt: 0.4568 0.8838 0.2133 [1 per cell]
Pt: 0.6702 0.3237 0.3447 [1 per cell]
Pt: 0.8957 0.7758 0.4634 [1 per cell]